# SrPmEu2
Simulated XRD peak list, Cu Kα (weighted mean of Kα1 and Kα2). Input: a crystal structure in Alexandria, relaxed with GGA-PBE.
Intensities are scaled so that the largest is 100.

Principal peaks in the range 10° ≤ 2θ ≤ 90°, low angle first:
| 2theta | I (rel.) |
| --- | --- |
| 28.61 | 52 |
| 29.01 | 100 |
| 40.91 | 20 |
| 50.93 | 42 |
| 51.67 | 20 |
| 60.12 | 13 |
| 67.08 | 9 |
| 81.84 | 11 |
| 82.42 | 11 |
| 83.40 | 10 |

Structure:
```
data_SrPmEu2
_chemical_formula_sum 'Sr1 Pm1 Eu2'
_space_group_name_H-M_alt 'P 1'
_space_group_IT_number 1
_cell_length_a 6.2401
_cell_length_b 6.2401
_cell_length_c 4.2956
_cell_angle_alpha 90.00
_cell_angle_beta 90.00
_cell_angle_gamma 90.00
loop_
_space_group_symop_operation_xyz
'x,y,z'
loop_
_atom_site_label
_atom_site_fract_x
_atom_site_fract_y
_atom_site_fract_z
_atom_site_occupancy
Sr1 0.0000 0.0000 0.0000 1
Pm1 0.5000 0.5000 0.0000 1
Eu1 0.0000 0.5000 0.5000 1
Eu2 0.5000 0.0000 0.5000 1
```

***

# MnCoPt6
Simulated XRD peak list, Cu Kα (weighted mean of Kα1 and Kα2). Input: a crystal structure in Alexandria, relaxed with GGA-PBE.
Intensities are scaled so that the largest is 100.

Principal peaks in the range 10° ≤ 2θ ≤ 90°, low angle first:
| 2theta | I (rel.) |
| --- | --- |
| 22.78 | 9 |
| 32.33 | 8 |
| 39.91 | 100 |
| 46.21 | 16 |
| 46.52 | 32 |
| 67.66 | 21 |
| 67.91 | 11 |
| 81.31 | 13 |
| 81.77 | 25 |
| 86.09 | 11 |

Structure:
```
data_MnCoPt6
_chemical_formula_sum 'Mn1 Co1 Pt6'
_space_group_name_H-M_alt 'P 1'
_space_group_IT_number 1
_cell_length_a 3.9040
_cell_length_b 3.9040
_cell_length_c 7.8580
_cell_angle_alpha 90.00
_cell_angle_beta 90.00
_cell_angle_gamma 90.00
loop_
_space_group_symop_operation_xyz
'x,y,z'
loop_
_atom_site_label
_atom_site_fract_x
_atom_site_fract_y
_atom_site_fract_z
_atom_site_occupancy
Mn1 0.0000 0.0000 0.0000 1
Co1 0.0000 0.0000 0.5000 1
Pt1 0.0000 0.5000 0.2533 1
Pt2 0.0000 0.5000 0.7467 1
Pt3 0.5000 0.0000 0.2533 1
Pt4 0.5000 0.0000 0.7467 1
Pt5 0.5000 0.5000 0.0000 1
Pt6 0.5000 0.5000 0.5000 1
```

***

Question: Which formula does entry 2 have?
Answer: MnCoPt6